[1]
Pm2B2O6F: theoretical powder X-ray diffraction pattern (Cu Kα (weighted mean of Kα1 and Kα2)), based on a DFT-relaxed cell (PBE, Alexandria).

Top 10 peaks for 5° ≤ 2θ ≤ 70°, in order of rising 2θ:
2θ (°)  intensity
18.57  67.1
22.59  100.0
23.55  32.3
28.54  41.7
30.23  29.0
32.21  21.4
33.53  18.2
43.11  23.9
43.26  22.6
46.13  19.1

Cell and atoms:
```
data_Pm2B2O6F
_cell_length_a 5.352
_cell_length_b 5.579
_cell_length_c 5.990
_cell_angle_alpha 86.14
_cell_angle_beta 68.22
_cell_angle_gamma 73.69
_symmetry_space_group_name_H-M 'P -1'
_symmetry_Int_Tables_number 2
loop_
_symmetry_equiv_pos_as_xyz
'x,y,z'
'-x,-y,-z'
loop_
_atom_site_label
_atom_site_fract_x
_atom_site_fract_y
_atom_site_fract_z
Pm1 0.032 0.271 0.253
B1 0.435 0.657 0.275
O1 0.285 0.485 0.377
O2 0.292 0.900 0.359
O3 0.294 0.414 0.882
F1 0.000 0.000 0.000
```

---

[2]
Sm3B2O6F3: theoretical powder X-ray diffraction pattern (Cu Kα (weighted mean of Kα1 and Kα2)), based on a DFT-relaxed cell (PBE, Alexandria).

Top 10 peaks for 5° ≤ 2θ ≤ 70°, in order of rising 2θ:
2θ (°)  intensity
21.39  69.5
25.13  100.0
26.29  51.4
28.40  53.0
30.34  88.7
31.41  33.1
34.97  29.8
45.68  31.0
50.19  38.4
54.02  34.0

Cell and atoms:
```
data_Sm3B2O6F3
_cell_length_a 12.958
_cell_length_b 6.302
_cell_length_c 8.376
_cell_angle_alpha 90.00
_cell_angle_beta 97.31
_cell_angle_gamma 90.00
_symmetry_space_group_name_H-M 'C 1 2/c 1'
_symmetry_Int_Tables_number 15
loop_
_symmetry_equiv_pos_as_xyz
'x,y,z'
'-x,-y,-z'
'-x,y,-z+1/2'
'x,-y,z+1/2'
'x+1/2,y+1/2,z'
'-x+1/2,-y+1/2,-z'
'-x+1/2,y+1/2,-z+1/2'
'x+1/2,-y+1/2,z+1/2'
loop_
_atom_site_label
_atom_site_fract_x
_atom_site_fract_y
_atom_site_fract_z
Sm1 0.000 0.098 0.250
Sm2 0.178 0.395 0.679
B1 0.181 0.093 0.022
O1 0.149 0.106 0.859
O2 0.151 0.228 0.138
O3 0.241 0.445 0.426
F1 0.000 0.475 0.250
F2 0.052 0.178 0.540
```

---

[3]
Sr3B6O11F2: theoretical powder X-ray diffraction pattern (Cu Kα (weighted mean of Kα1 and Kα2)), based on a DFT-relaxed cell (PBE, Alexandria).

Top 10 peaks for 5° ≤ 2θ ≤ 70°, in order of rising 2θ:
2θ (°)  intensity
21.17  82.8
21.38  82.6
25.70  74.8
28.36  54.5
28.68  73.5
30.48  60.0
31.11  69.0
33.76  100.0
45.98  98.9
47.93  58.1

Cell and atoms:
```
data_Sr3B6O11F2
_cell_length_a 6.428
_cell_length_b 8.307
_cell_length_c 9.602
_cell_angle_alpha 90.00
_cell_angle_beta 101.68
_cell_angle_gamma 90.00
_symmetry_space_group_name_H-M 'P 1 21 1'
_symmetry_Int_Tables_number 4
loop_
_symmetry_equiv_pos_as_xyz
'x,y,z'
'-x,y+1/2,-z'
loop_
_atom_site_label
_atom_site_fract_x
_atom_site_fract_y
_atom_site_fract_z
Sr1 0.018 0.000 0.230
Sr2 0.438 0.354 0.466
Sr3 0.455 0.843 0.948
B1 0.010 0.678 0.447
B2 0.071 0.362 0.141
B3 0.103 0.140 0.935
B4 0.105 0.896 0.632
B5 0.273 0.620 0.210
B6 0.326 0.143 0.732
O1 0.012 0.804 0.733
O2 0.054 0.516 0.445
O3 0.078 0.964 0.957
O4 0.093 0.708 0.162
O5 0.138 0.217 0.075
O6 0.160 0.778 0.525
O7 0.178 0.243 0.626
O8 0.274 0.455 0.199
O9 0.292 0.175 0.875
O10 0.306 0.972 0.695
O11 0.455 0.702 0.274
F1 0.340 0.559 0.902
F2 0.369 0.071 0.389
```

---

[4]
BTe3O3F15: theoretical powder X-ray diffraction pattern (Cu Kα (weighted mean of Kα1 and Kα2)), based on a DFT-relaxed cell (PBE, Alexandria).

Top 10 peaks for 5° ≤ 2θ ≤ 70°, in order of rising 2θ:
2θ (°)  intensity
18.69  36.3
18.89  24.7
21.10  100.0
26.69  12.1
34.16  13.7
38.22  18.4
39.52  11.1
48.25  10.4
51.13  10.3
59.71  10.5

Cell and atoms:
```
data_BTe3O3F15
_cell_length_a 9.3956
_cell_length_b 9.3956
_cell_length_c 9.4957
_cell_angle_alpha 90.00
_cell_angle_beta 90.00
_cell_angle_gamma 120.00
_symmetry_space_group_name_H-M 'P 63/m'
_symmetry_Int_Tables_number 176
_symmetry_space_group_name_Hall '-P 6c'
loop_
_atom_site_label
_atom_site_fract_x
_atom_site_fract_y
_atom_site_fract_z
B1 0.3333 0.6667 0.2500
Te1 0.0030 0.6457 0.2500
O1 0.1639 0.5761 0.2500
F1 0.1127 0.8024 0.1092
F2 0.1140 0.5124 0.6125
F3 0.1364 0.8394 0.7500
```

---

[5]
UTlB5O11F: theoretical powder X-ray diffraction pattern (Cu Kα (weighted mean of Kα1 and Kα2)), based on a DFT-relaxed cell (PBE, Alexandria).

Top 10 peaks for 5° ≤ 2θ ≤ 70°, in order of rising 2θ:
2θ (°)  intensity
16.69  100.0
18.79  44.5
22.04  36.0
25.73  46.8
26.40  17.5
27.77  22.6
31.63  22.9
32.17  17.7
33.73  20.6
43.30  19.8

Cell and atoms:
```
data_UTlB5O11F
_cell_length_a 6.427
_cell_length_b 6.453
_cell_length_c 7.649
_cell_angle_alpha 86.26
_cell_angle_beta 66.49
_cell_angle_gamma 60.90
_symmetry_space_group_name_H-M 'P 1'
_symmetry_Int_Tables_number 1
loop_
_symmetry_equiv_pos_as_xyz
'x,y,z'
loop_
_atom_site_label
_atom_site_fract_x
_atom_site_fract_y
_atom_site_fract_z
U1 0.000 0.000 0.000
Tl1 0.564 0.441 0.545
B1 0.034 0.482 0.402
B2 0.048 0.506 0.070
B3 0.423 0.432 0.118
B4 0.456 0.094 0.923
B5 0.651 0.677 0.010
O1 0.147 0.923 0.740
O2 0.178 0.261 0.965
O3 0.244 0.580 0.030
O4 0.278 0.468 0.332
O5 0.456 0.867 0.975
O6 0.555 0.173 0.033
O7 0.641 0.475 0.067
O8 0.864 0.063 0.261
O9 0.864 0.690 0.999
O10 0.907 0.456 0.586
O11 0.915 0.515 0.277
F1 0.615 0.057 0.721
```

---

[6]
Tm5B2O6F9: theoretical powder X-ray diffraction pattern (Cu Kα (weighted mean of Kα1 and Kα2)), based on a DFT-relaxed cell (PBE, Alexandria).

Top 10 peaks for 5° ≤ 2θ ≤ 70°, in order of rising 2θ:
2θ (°)  intensity
22.19  39.4
25.21  37.8
26.66  100.0
27.29  52.8
27.91  37.3
30.44  31.5
31.78  61.7
46.90  36.4
48.20  25.9
51.29  57.3

Cell and atoms:
```
data_Tm5B2O6F9
_cell_length_a 20.457
_cell_length_b 6.009
_cell_length_c 8.213
_cell_angle_alpha 90.00
_cell_angle_beta 100.44
_cell_angle_gamma 90.00
_symmetry_space_group_name_H-M 'C 1 2/c 1'
_symmetry_Int_Tables_number 15
loop_
_symmetry_equiv_pos_as_xyz
'x,y,z'
'-x,-y,-z'
'-x,y,-z+1/2'
'x,-y,z+1/2'
'x+1/2,y+1/2,z'
'-x+1/2,-y+1/2,-z'
'-x+1/2,y+1/2,-z+1/2'
'x+1/2,-y+1/2,z+1/2'
loop_
_atom_site_label
_atom_site_fract_x
_atom_site_fract_y
_atom_site_fract_z
Tm1 0.000 0.109 0.250
Tm2 0.109 0.391 0.908
Tm3 0.194 0.121 0.320
B1 0.111 0.096 0.563
O1 0.090 0.240 0.434
O2 0.093 0.104 0.718
O3 0.159 0.061 0.039
F1 0.000 0.484 0.250
F2 0.032 0.184 0.986
F3 0.131 0.428 0.186
F4 0.210 0.424 0.481
F5 0.228 0.216 0.785
```

---

> Number 2 is which compound?

Sm3B2O6F3